For LiDyO2, DFT lattice parameters and positions (PBE) gives the simulated XRD peak list in this record (Cu Kα).

Most intense lines, 15° ≤ 2θ ≤ 90°, low angle first:
2theta	d [Å]	intensity	h k l
18.43	4.815	100.0	1 0 1
29.11	3.067	70.4	3 0 1
30.79	2.904	59.6	2 1 0
31.80	2.814	23.0	4 0 0
32.29	2.772	70.8	1 1 1
39.62	2.275	20.2	3 1 1
46.25	1.963	39.5	2 1 2
46.98	1.934	18.9	4 0 2
51.67	1.769	31.9	5 1 1
54.12	1.695	20.6	0 2 0

Crystal structure
a b c (Å): 11.254 3.391 5.327
angles (deg): 90.00 90.00 90.00
Space group Pnma (No. 62)
Symmetry-distinct sites (fractional):
1 Li 0.067 0.250 0.098 x4
2 Dy 0.141 0.750 0.547 x4
3 O 0.026 0.250 0.741 x4
4 O 0.206 0.250 0.311 x4

=====

For LiDyO2, DFT lattice parameters and positions (PBE) gives the simulated XRD peak list in this record (Cu Kα).

Most intense lines, 15° ≤ 2θ ≤ 90°, low angle first:
2theta	d [Å]	intensity	h k l
21.64	4.107	95.5	0 1 1
21.81	4.075	100.0	1 1 0
31.68	2.824	25.5	1 1 -2
32.04	2.793	25.2	2 1 -1
32.49	2.756	25.1	0 0 2
32.79	2.732	46.2	2 0 -2
33.40	2.682	51.0	1 2 -1
40.91	2.206	49.5	1 2 1
46.15	1.967	29.8	2 1 -3
47.29	1.922	26.7	0 3 1

Crystal structure
a b c (Å): 6.269 6.158 6.357
angles (deg): 90.00 119.88 90.00
Space group P2_1/c (No. 14)
Symmetry-distinct sites (fractional):
1 Li 0.204 0.157 0.430 x4
2 Dy 0.269 0.631 0.524 x4
3 O 0.049 0.608 0.736 x4
4 O 0.487 0.175 0.148 x4

=====

For LiDyO3, DFT lattice parameters and positions (PBE) gives the simulated XRD peak list in this record (Cu Kα).

Most intense lines, 15° ≤ 2θ ≤ 90°, low angle first:
2theta	d [Å]	intensity	h k l
24.22	3.675	100.0	1 0 0
34.52	2.598	95.2	1 1 0
42.61	2.122	65.6	1 1 1
49.62	1.837	34.0	2 0 0
55.95	1.643	43.6	2 1 0
61.85	1.500	37.4	2 1 1
72.79	1.299	20.1	2 2 0
78.01	1.225	21.4	3 0 0
83.12	1.162	16.8	3 1 0
88.18	1.108	22.2	3 1 1

Crystal structure
a b c (Å): 3.675 3.675 3.675
angles (deg): 90.00 90.00 90.00
Space group Pm-3m (No. 221)
Symmetry-distinct sites (fractional):
1 Li 0.000 0.000 0.000 x1
2 Dy 0.500 0.500 0.500 x1
3 O 0.000 0.000 0.500 x3

=====

For LiDyP4O12, DFT lattice parameters and positions (PBE) gives the simulated XRD peak list in this record (Cu Kα).

Most intense lines, 15° ≤ 2θ ≤ 90°, low angle first:
2theta	d [Å]	intensity	h k l
15.42	5.748	50.3	1 1 -1
20.43	4.347	100.0	3 1 -1
22.67	3.922	70.2	0 0 2
23.14	3.843	21.4	1 1 -2
27.48	3.246	33.0	2 2 -1
30.33	2.947	23.7	3 1 -3
31.09	2.877	40.2	3 1 1
32.65	2.743	48.7	6 0 -2
33.97	2.639	18.1	0 2 2
40.94	2.205	15.0	7 1 -3

Crystal structure
a b c (Å): 16.450 7.132 9.708
angles (deg): 90.00 126.06 90.00
Space group C2/c (No. 15)
Symmetry-distinct sites (fractional):
1 Li 0.000 0.207 0.250 x4
2 Dy 0.000 0.296 0.750 x4
3 P 0.137 0.051 0.616 x8
4 P 0.145 0.350 0.193 x8
5 O 0.067 0.004 0.429 x8
6 O 0.072 0.418 0.227 x8
7 O 0.111 0.212 0.684 x8
8 O 0.125 0.383 0.023 x8
9 O 0.155 0.127 0.232 x8
10 O 0.245 0.079 0.653 x8

=====

For LiDyS2O8, DFT lattice parameters and positions (PBE) gives the simulated XRD peak list in this record (Cu Kα).

Most intense lines, 15° ≤ 2θ ≤ 90°, low angle first:
2theta	d [Å]	intensity	h k l
16.62	5.335	100.0	1 1 0
19.04	4.662	92.9	1 0 1
22.42	3.966	43.6	1 1 1
30.48	2.933	64.3	2 1 1
34.62	2.591	22.5	1 1 2
37.70	2.386	19.6	3 1 0
38.90	2.315	35.9	3 0 1
45.76	1.983	24.5	2 2 2
45.99	1.973	19.5	3 2 1
49.01	1.859	26.8	3 1 2

Crystal structure
a b c (Å): 7.545 7.545 5.929
angles (deg): 90.00 90.00 90.00
Space group P-4n2 (No. 118)
Symmetry-distinct sites (fractional):
1 Li 0.000 0.500 0.250 x2
2 Dy 0.000 0.500 0.750 x2
3 S 0.224 0.276 0.250 x4
4 O 0.089 0.315 0.068 x8
5 O 0.094 0.791 0.658 x8

=====

For LiDy2Rh, DFT lattice parameters and positions (PBE) gives the simulated XRD peak list in this record (Cu Kα).

Most intense lines, 15° ≤ 2θ ≤ 90°, low angle first:
2theta	d [Å]	intensity	h k l
22.07	4.027	13.4	1 1 1
25.54	3.487	29.3	2 0 0
36.44	2.466	100.0	2 2 0
43.01	2.103	6.8	3 1 1
45.03	2.013	8.8	2 2 2
52.48	1.744	17.6	4 0 0
59.25	1.560	11.8	4 2 0
65.57	1.424	35.8	4 2 2
77.40	1.233	11.1	4 4 0
88.71	1.103	16.3	6 2 0

Crystal structure
a b c (Å): 6.975 6.975 6.975
angles (deg): 90.00 90.00 90.00
Space group Fm-3m (No. 225)
Symmetry-distinct sites (fractional):
1 Li 0.000 0.000 0.000 x4
2 Dy 0.250 0.250 0.250 x8
3 Rh 0.000 0.000 0.500 x4